For Pm2Pr4Y7, DFT lattice parameters and positions (PBE) gives the computed powder X-ray diffraction pattern in this record (Cu Kα, 1.54184 Å).

Peak list (10 most intense, 10° ≤ 2θ ≤ 90°, by angle)
- hkl 0 2 1, d 2.967, 30.12°, rel. 34
- hkl 2 1 1, d 2.960, 30.19°, rel. 100
- hkl 1 1 4, d 2.565, 34.98°, rel. 67
- hkl 2 3 2, d 1.815, 50.27°, rel. 32
- hkl 3 0 4, d 1.811, 50.38°, rel. 16
- hkl 1 4 -1, d 1.549, 59.70°, rel. 9
- hkl 4 0 1, d 1.547, 59.79°, rel. 42
- hkl 4 2 2, d 1.481, 62.76°, rel. 8
- hkl 4 4 3, d 1.177, 81.83°, rel. 9
- hkl 3 5 0, d 1.148, 84.39°, rel. 12

Structure:
a = 6.2818 Å, b = 6.2928 Å, c = 11.4532 Å
α = 89.94°, β = 79.54°, γ = 80.41°
Space group P-1 (No. 2)
One atom of each set of equivalent atoms:
Pm 0.1533 0.3096 0.3849 (multiplicity 2)
Pr 0.3065 0.6155 0.7689 (multiplicity 2)
Pr 0.4610 0.9235 0.1550 (multiplicity 2)
Y 0.0000 0.0000 0.0000 (multiplicity 1)
Y 0.0768 0.1535 0.6911 (multiplicity 2)
Y 0.2302 0.4625 0.0769 (multiplicity 2)
Y 0.3854 0.7705 0.4619 (multiplicity 2)